No. 1
This entry pairs a crystal structure of MnCO3 with its theoretical X-ray diffraction stick pattern. Radiation: CuKα. Structure: a structure optimized by DFT (PBE+U).

a b c (Å): 3.858 4.866 6.195
angles (deg): 89.93 73.75 89.96
Sites, in units of the cell vectors:
Mn (0.000, 0.186, 0.250)
Mn (0.000, 0.814, 0.750)
C (0.500, 0.313, 0.750)
C (0.500, 0.687, 0.250)
O (0.237, 0.178, 0.884)
O (0.237, 0.822, 0.384)
O (0.499, 0.420, 0.250)
O (0.501, 0.580, 0.750)
O (0.763, 0.178, 0.616)
O (0.763, 0.822, 0.116)

Peak list (10 most intense, 2θ = 5–70°, most intense first)
2θ = 30.71°, d = 2.911 Å, intensity 100.0
2θ = 30.05°, d = 2.974 Å, intensity 61.7
2θ = 30.33°, d = 2.947 Å, intensity 33.5
2θ = 23.62°, d = 3.766 Å, intensity 27.5
2θ = 36.94°, d = 2.433 Å, intensity 26.9
2θ = 44.83°, d = 2.022 Å, intensity 24.0
2θ = 49.36°, d = 1.846 Å, intensity 21.5
2θ = 50.95°, d = 1.792 Å, intensity 19.9
2θ = 24.03°, d = 3.704 Å, intensity 14.7
2θ = 49.62°, d = 1.837 Å, intensity 14.5

=====

No. 2
This entry pairs a crystal structure of Mn2C3O9 with its theoretical X-ray diffraction stick pattern. Radiation: CuKα. Structure: a structure optimized by DFT (PBE+U).

a b c (Å): 7.721 7.721 7.721
angles (deg): 106.92 106.92 106.92
Sites, in units of the cell vectors:
Mn (0.000, 0.000, 0.000)
Mn (0.481, 0.621, 0.947)
Mn (0.621, 0.947, 0.481)
Mn (0.947, 0.481, 0.621)
C (0.061, 0.243, 0.848)
C (0.243, 0.848, 0.061)
C (0.328, 0.686, 0.583)
C (0.583, 0.328, 0.686)
C (0.686, 0.583, 0.328)
C (0.848, 0.061, 0.243)
O (0.112, 0.391, 0.799)
O (0.112, 0.783, 0.879)
O (0.146, 0.570, 0.521)
O (0.195, 0.220, 0.972)
O (0.220, 0.972, 0.195)
O (0.377, 0.750, 0.460)
O (0.391, 0.799, 0.112)
O (0.460, 0.377, 0.750)
O (0.465, 0.742, 0.757)
O (0.521, 0.146, 0.570)
O (0.570, 0.521, 0.146)
O (0.742, 0.757, 0.465)
O (0.750, 0.460, 0.377)
O (0.757, 0.465, 0.742)
O (0.783, 0.879, 0.112)
O (0.799, 0.112, 0.391)
O (0.879, 0.112, 0.783)
O (0.972, 0.195, 0.220)

Peak list (10 most intense, 2θ = 5–70°, most intense first)
2θ = 19.45°, d = 4.563 Å, intensity 100.0
2θ = 14.28°, d = 6.203 Å, intensity 74.5
2θ = 31.76°, d = 2.817 Å, intensity 29.9
2θ = 22.16°, d = 4.011 Å, intensity 27.9
2θ = 24.21°, d = 3.676 Å, intensity 26.2
2θ = 30.19°, d = 2.960 Å, intensity 25.4
2θ = 38.39°, d = 2.345 Å, intensity 21.1
2θ = 13.14°, d = 6.736 Å, intensity 20.5
2θ = 50.16°, d = 1.819 Å, intensity 19.9
2θ = 34.31°, d = 2.614 Å, intensity 15.7

=====

No. 3
This entry pairs a crystal structure of MnC2O6 with its theoretical X-ray diffraction stick pattern. Radiation: CuKα. Structure: a structure optimized by DFT (PBE+U).

a b c (Å): 6.191 6.191 6.191
angles (deg): 44.43 44.43 44.43
Sites, in units of the cell vectors:
Mn (0.000, 0.000, 0.000)
C (0.268, 0.268, 0.268)
C (0.732, 0.732, 0.732)
O (0.009, 0.558, 0.232)
O (0.232, 0.009, 0.558)
O (0.442, 0.768, 0.991)
O (0.558, 0.232, 0.009)
O (0.768, 0.991, 0.442)
O (0.991, 0.442, 0.768)

Peak list (10 most intense, 2θ = 5–70°, most intense first)
2θ = 15.91°, d = 5.570 Å, intensity 100.0
2θ = 30.73°, d = 2.909 Å, intensity 61.9
2θ = 22.57°, d = 3.940 Å, intensity 48.8
2θ = 41.86°, d = 2.158 Å, intensity 34.8
2θ = 50.97°, d = 1.792 Å, intensity 17.8
2θ = 44.02°, d = 2.057 Å, intensity 12.9
2θ = 64.01°, d = 1.455 Å, intensity 10.3
2θ = 49.06°, d = 1.857 Å, intensity 9.3
2θ = 60.69°, d = 1.526 Å, intensity 8.7
2θ = 52.82°, d = 1.733 Å, intensity 7.9

=====

No. 4
This entry pairs a crystal structure of RbMn3C4O12 with its theoretical X-ray diffraction stick pattern. Radiation: CuKα. Structure: a structure optimized by DFT (PBE+U).

a b c (Å): 6.370 6.370 6.370
angles (deg): 100.96 100.96 100.96
Sites, in units of the cell vectors:
Rb (0.000, 0.000, 0.000)
Mn (0.000, 0.540, 0.460)
Mn (0.460, 0.000, 0.540)
Mn (0.540, 0.460, 0.000)
C (0.039, 0.500, 0.961)
C (0.500, 0.500, 0.500)
C (0.500, 0.961, 0.039)
C (0.961, 0.039, 0.500)
O (0.011, 0.209, 0.425)
O (0.097, 0.903, 0.500)
O (0.209, 0.425, 0.011)
O (0.368, 0.632, 0.500)
O (0.425, 0.011, 0.209)
O (0.500, 0.097, 0.903)
O (0.500, 0.368, 0.632)
O (0.575, 0.791, 0.989)
O (0.632, 0.500, 0.368)
O (0.791, 0.989, 0.575)
O (0.903, 0.500, 0.097)
O (0.989, 0.575, 0.791)

Peak list (10 most intense, 2θ = 5–70°, most intense first)
2θ = 29.38°, d = 3.040 Å, intensity 100.0
2θ = 23.28°, d = 3.822 Å, intensity 28.9
2θ = 46.98°, d = 1.934 Å, intensity 19.2
2θ = 48.60°, d = 1.873 Å, intensity 19.1
2θ = 36.57°, d = 2.457 Å, intensity 17.0
2θ = 43.64°, d = 2.074 Å, intensity 15.5
2θ = 43.80°, d = 2.067 Å, intensity 11.5
2θ = 29.61°, d = 3.017 Å, intensity 11.4
2θ = 58.35°, d = 1.582 Å, intensity 6.9
2θ = 56.15°, d = 1.638 Å, intensity 6.6

=====

No. 5
This entry pairs a crystal structure of MnCSO7 with its theoretical X-ray diffraction stick pattern. Radiation: CuKα. Structure: a structure optimized by DFT (PBE+U).

a b c (Å): 5.153 6.227 8.504
angles (deg): 90.00 95.28 90.00
Sites, in units of the cell vectors:
Mn (0.212, 0.250, 0.324)
Mn (0.788, 0.750, 0.676)
C (0.293, 0.250, 0.050)
C (0.707, 0.750, 0.950)
S (0.266, 0.750, 0.421)
S (0.734, 0.250, 0.579)
O (0.058, 0.250, 0.102)
O (0.121, 0.750, 0.562)
O (0.195, 0.563, 0.316)
O (0.195, 0.937, 0.316)
O (0.337, 0.250, 0.910)
O (0.449, 0.250, 0.530)
O (0.474, 0.250, 0.171)
O (0.526, 0.750, 0.829)
O (0.551, 0.750, 0.470)
O (0.663, 0.750, 0.090)
O (0.805, 0.063, 0.684)
O (0.805, 0.437, 0.684)
O (0.879, 0.250, 0.438)
O (0.942, 0.750, 0.898)

Peak list (10 most intense, 2θ = 5–70°, most intense first)
2θ = 10.45°, d = 8.468 Å, intensity 100.0
2θ = 28.67°, d = 3.113 Å, intensity 81.0
2θ = 21.05°, d = 4.220 Å, intensity 68.4
2θ = 19.39°, d = 4.579 Å, intensity 57.0
2θ = 17.68°, d = 5.017 Å, intensity 40.9
2θ = 26.02°, d = 3.424 Å, intensity 39.9
2θ = 25.50°, d = 3.493 Å, intensity 32.5
2θ = 40.54°, d = 2.225 Å, intensity 17.4
2θ = 22.45°, d = 3.960 Å, intensity 15.3
2θ = 35.62°, d = 2.520 Å, intensity 14.1

=====

No. 6
This entry pairs a crystal structure of Sr5Mn4CO13 with its theoretical X-ray diffraction stick pattern. Radiation: CuKα. Structure: a structure optimized by DFT (PBE+U).

a b c (Å): 8.952 3.819 8.973
angles (deg): 90.00 90.34 90.00
Sites, in units of the cell vectors:
Sr (0.000, 0.000, 0.000)
Sr (0.171, 0.000, 0.607)
Sr (0.351, 0.000, 0.221)
Sr (0.560, 0.000, 0.784)
Sr (0.774, 0.000, 0.428)
Mn (0.070, 0.500, 0.308)
Mn (0.273, 0.500, 0.909)
Mn (0.469, 0.500, 0.511)
Mn (0.870, 0.500, 0.708)
C (0.675, 0.500, 0.109)
O (0.037, 0.000, 0.287)
O (0.062, 0.500, 0.806)
O (0.179, 0.500, 0.111)
O (0.279, 0.500, 0.410)
O (0.308, 0.000, 0.933)
O (0.368, 0.500, 0.718)
O (0.489, 0.000, 0.479)
O (0.598, 0.500, 0.986)
O (0.607, 0.500, 0.238)
O (0.672, 0.500, 0.606)
O (0.821, 0.500, 0.106)
O (0.845, 0.000, 0.751)
O (0.965, 0.500, 0.495)

Peak list (10 most intense, 2θ = 5–70°, most intense first)
2θ = 32.38°, d = 2.765 Å, intensity 100.0
2θ = 31.59°, d = 2.832 Å, intensity 25.6
2θ = 31.54°, d = 2.837 Å, intensity 25.6
2θ = 39.59°, d = 2.276 Å, intensity 21.0
2θ = 58.26°, d = 1.584 Å, intensity 17.1
2θ = 47.62°, d = 1.909 Å, intensity 16.5
2θ = 56.83°, d = 1.620 Å, intensity 16.4
2θ = 45.39°, d = 1.998 Å, intensity 14.6
2θ = 45.10°, d = 2.010 Å, intensity 14.2
2θ = 9.87°, d = 8.963 Å, intensity 13.2

=====

No. 7
This entry pairs a crystal structure of Mn3TlC4O12 with its theoretical X-ray diffraction stick pattern. Radiation: CuKα. Structure: a structure optimized by DFT (PBE+U).

a b c (Å): 6.371 6.371 6.371
angles (deg): 102.52 102.52 102.52
Sites, in units of the cell vectors:
Mn (0.000, 0.539, 0.461)
Mn (0.461, 0.000, 0.539)
Mn (0.539, 0.461, 0.000)
Tl (0.000, 0.000, 0.000)
C (0.040, 0.500, 0.960)
C (0.500, 0.500, 0.500)
C (0.500, 0.960, 0.040)
C (0.960, 0.040, 0.500)
O (0.022, 0.611, 0.812)
O (0.091, 0.909, 0.500)
O (0.188, 0.389, 0.978)
O (0.369, 0.631, 0.500)
O (0.389, 0.978, 0.188)
O (0.500, 0.091, 0.909)
O (0.500, 0.369, 0.631)
O (0.611, 0.812, 0.022)
O (0.631, 0.500, 0.369)
O (0.812, 0.022, 0.611)
O (0.909, 0.500, 0.091)
O (0.978, 0.188, 0.389)

Peak list (10 most intense, 2θ = 5–70°, most intense first)
2θ = 29.90°, d = 2.988 Å, intensity 100.0
2θ = 23.28°, d = 3.821 Å, intensity 57.1
2θ = 14.82°, d = 5.976 Å, intensity 43.6
2θ = 49.28°, d = 1.849 Å, intensity 28.5
2θ = 36.16°, d = 2.484 Å, intensity 27.6
2θ = 17.85°, d = 4.969 Å, intensity 27.5
2θ = 29.49°, d = 3.029 Å, intensity 25.8
2θ = 48.69°, d = 1.870 Å, intensity 22.0
2θ = 35.04°, d = 2.561 Å, intensity 19.7
2θ = 43.45°, d = 2.083 Å, intensity 18.5

=====

No. 8
This entry pairs a crystal structure of MnVCO5 with its theoretical X-ray diffraction stick pattern. Radiation: CuKα. Structure: a structure optimized by DFT (PBE+U).

a b c (Å): 5.093 5.093 6.854
angles (deg): 104.31 104.31 104.16
Sites, in units of the cell vectors:
Mn (0.159, 0.841, 0.750)
Mn (0.841, 0.159, 0.250)
V (0.500, 0.500, 0.000)
V (0.500, 0.500, 0.500)
C (0.180, 0.820, 0.250)
C (0.820, 0.180, 0.750)
O (0.092, 0.234, 0.900)
O (0.172, 0.615, 0.357)
O (0.234, 0.092, 0.400)
O (0.385, 0.828, 0.143)
O (0.415, 0.585, 0.750)
O (0.585, 0.415, 0.250)
O (0.615, 0.172, 0.857)
O (0.766, 0.908, 0.600)
O (0.828, 0.385, 0.643)
O (0.908, 0.766, 0.100)

Peak list (10 most intense, 2θ = 5–70°, most intense first)
2θ = 28.62°, d = 3.119 Å, intensity 100.0
2θ = 31.21°, d = 2.865 Å, intensity 72.8
2θ = 37.05°, d = 2.426 Å, intensity 53.6
2θ = 36.33°, d = 2.473 Å, intensity 44.3
2θ = 54.23°, d = 1.692 Å, intensity 27.1
2θ = 56.89°, d = 1.618 Å, intensity 25.4
2θ = 41.11°, d = 2.196 Å, intensity 24.7
2θ = 46.00°, d = 1.973 Å, intensity 21.7
2θ = 45.14°, d = 2.009 Å, intensity 20.7
2θ = 65.08°, d = 1.433 Å, intensity 19.7

=====

- Number 1 is which compound?
  MnCO3